(1)
The following is a calculated powder diffraction line list of AcCeSi2. It was derived from a crystal structure in Alexandria, relaxed with PBE, using Cu Ka.
Neutral-atom scattering factors, no anomalous dispersion.

Structure:
```
data_AcCeSi2
_space_group_name_H-M_alt 'C m c m'
_space_group_IT_number 63
_space_group_name_Hall '-C 2c 2'
_cell_length_a 4.5374
_cell_length_b 13.4764
_cell_length_c 6.7686
_cell_angle_alpha 90.00
_cell_angle_beta 90.00
_cell_angle_gamma 90.00
loop_
_atom_site_label
_atom_site_fract_x
_atom_site_fract_y
_atom_site_fract_z
Ac1 0.0000 0.0540 0.2500
Ce1 0.0000 0.2282 0.7500
Si1 0.0000 0.3908 0.0703
```

Largest 10 diffraction maxima, sorted by position, 2θ from 10° to 90°:
hkl 1 1 0, 2θ = 20.7°, intensity 377; hkl 0 0 2, 2θ = 26.3°, intensity 343; hkl 0 4 1, 2θ = 29.6°, intensity 385; hkl 1 3 1, 2θ = 31.0°, intensity 1000; hkl 1 1 2, 2θ = 33.7°, intensity 459; hkl 2 0 0, 2θ = 39.7°, intensity 196; hkl 2 0 2, 2θ = 48.3°, intensity 154; hkl 0 4 3, 2θ = 48.6°, intensity 161; hkl 1 3 3, 2θ = 49.5°, intensity 174; hkl 2 4 1, 2θ = 50.3°, intensity 183

***

(2)
The following is a calculated powder diffraction line list of AcCe2Zn2Si2. It was derived from a crystal structure in Alexandria, relaxed with PBE, using Cu Ka.
Neutral-atom scattering factors, no anomalous dispersion.

Structure:
```
data_AcCe2Zn2Si2
_space_group_name_H-M_alt 'R -3 m'
_space_group_IT_number 166
_space_group_name_Hall '-R 3 2"'
_cell_length_a 4.2893
_cell_length_b 4.2893
_cell_length_c 29.4302
_cell_angle_alpha 90.00
_cell_angle_beta 90.00
_cell_angle_gamma 120.00
loop_
_atom_site_label
_atom_site_fract_x
_atom_site_fract_y
_atom_site_fract_z
Ac1 0.0000 0.0000 0.0000
Ce1 0.0000 0.0000 0.1428
Zn1 0.0000 0.0000 0.4109
Si1 0.0000 0.0000 0.2555
```

Largest 10 diffraction maxima, sorted by position, 2θ from 10° to 90°:
hkl 1 0 1, 2θ = 24.1°, intensity 394; hkl 0 1 5, 2θ = 28.4°, intensity 289; hkl 1 0 7, 2θ = 32.2°, intensity 1000; hkl 0 1 8, 2θ = 34.3°, intensity 386; hkl 1 1 0, 2θ = 42.1°, intensity 615; hkl 0 0 15, 2θ = 46.2°, intensity 159; hkl 0 1 14, 2θ = 49.8°, intensity 160; hkl 0 2 7, 2θ = 54.0°, intensity 231; hkl 1 1 15, 2θ = 64.4°, intensity 178; hkl 2 1 7, 2θ = 70.7°, intensity 204

***

(3)
The following is a calculated powder diffraction line list of Ac3CeSm3Te8. It was derived from a crystal structure in Alexandria, relaxed with PBE, using Cu Ka.
Neutral-atom scattering factors, no anomalous dispersion.

Structure:
```
data_Ac3CeSm3Te8
_space_group_name_H-M_alt 'C 1 2/m 1'
_space_group_IT_number 12
_space_group_name_Hall '-C 2y'
_cell_length_a 15.7380
_cell_length_b 9.0612
_cell_length_c 9.2295
_cell_angle_alpha 90.00
_cell_angle_beta 124.77
_cell_angle_gamma 90.00
loop_
_atom_site_label
_atom_site_fract_x
_atom_site_fract_y
_atom_site_fract_z
Ac1 0.0000 0.0000 0.0000
Ac2 0.2500 0.2500 0.0000
Ce1 0.0000 0.0000 0.5000
Sm1 0.0000 0.5000 0.5000
Sm2 0.2500 0.2500 0.5000
Te1 0.0063 0.2587 0.2598
Te2 0.2439 0.5000 0.7316
Te3 0.2477 0.5000 0.2602
```

Largest 10 diffraction maxima, sorted by position, 2θ from 10° to 90°:
hkl 4 0 0, 2θ = 27.6°, intensity 1000; hkl 2 2 2, 2θ = 39.1°, intensity 390; hkl 0 4 0, 2θ = 39.7°, intensity 378; hkl 0 0 4, 2θ = 48.0°, intensity 71; hkl 8 0 -4, 2θ = 49.0°, intensity 69; hkl 4 4 0, 2θ = 49.1°, intensity 136; hkl 8 0 0, 2θ = 57.0°, intensity 129; hkl 6 2 2, 2θ = 64.1°, intensity 119; hkl 10 2 -2, 2θ = 64.9°, intensity 120; hkl 8 4 0, 2θ = 71.8°, intensity 86

***

(4)
The following is a calculated powder diffraction line list of AcCe5Sn3. It was derived from a crystal structure in Alexandria, relaxed with PBE, using Cu Ka.
Neutral-atom scattering factors, no anomalous dispersion.

Structure:
```
data_AcCe5Sn3
_space_group_name_H-M_alt 'P 63/m c m'
_space_group_IT_number 193
_space_group_name_Hall '-P 6c 2'
_cell_length_a 9.6090
_cell_length_b 9.6090
_cell_length_c 6.7624
_cell_angle_alpha 90.00
_cell_angle_beta 90.00
_cell_angle_gamma 120.00
loop_
_atom_site_label
_atom_site_fract_x
_atom_site_fract_y
_atom_site_fract_z
Ac1 0.0000 0.0000 0.0000
Ce1 0.0000 0.3381 0.2500
Ce2 0.3333 0.6667 0.0000
Sn1 0.0000 0.3354 0.7500
```

Largest 10 diffraction maxima, sorted by position, 2θ from 10° to 90°:
hkl 3 0 0, 2θ = 32.3°, intensity 1000; hkl 1 1 2, 2θ = 32.4°, intensity 958; hkl 2 2 2, 2θ = 46.4°, intensity 356; hkl 0 0 4, 2θ = 54.3°, intensity 78; hkl 3 3 0, 2θ = 57.6°, intensity 569; hkl 3 0 4, 2θ = 64.6°, intensity 277; hkl 6 0 0, 2θ = 67.5°, intensity 121; hkl 5 2 2, 2θ = 76.9°, intensity 162; hkl 3 3 4, 2θ = 83.1°, intensity 140; hkl 4 4 2, 2θ = 85.9°, intensity 63

***

(5)
The following is a calculated powder diffraction line list of Ac4CeSn15. It was derived from a crystal structure in Alexandria, relaxed with PBE, using Cu Ka.
Neutral-atom scattering factors, no anomalous dispersion.

Structure:
```
data_Ac4CeSn15
_space_group_name_H-M_alt 'P 4/m m m'
_space_group_IT_number 123
_space_group_name_Hall '-P 4 2'
_cell_length_a 4.8695
_cell_length_b 4.8695
_cell_length_c 24.5706
_cell_angle_alpha 90.00
_cell_angle_beta 90.00
_cell_angle_gamma 90.00
loop_
_atom_site_label
_atom_site_fract_x
_atom_site_fract_y
_atom_site_fract_z
Ac1 0.0000 0.0000 0.1019
Ac2 0.0000 0.0000 0.3065
Ce1 0.0000 0.0000 0.5000
Sn1 0.0000 0.5000 0.0000
Sn2 0.0000 0.5000 0.2037
Sn3 0.0000 0.5000 0.4072
Sn4 0.5000 0.5000 0.1015
Sn5 0.5000 0.5000 0.3038
Sn6 0.5000 0.5000 0.5000
```

Largest 10 diffraction maxima, sorted by position, 2θ from 10° to 90°:
hkl 1 1 5, 2θ = 31.7°, intensity 1000; hkl 0 0 10, 2θ = 36.6°, intensity 163; hkl 2 0 0, 2θ = 36.9°, intensity 342; hkl 2 0 10, 2θ = 52.9°, intensity 230; hkl 2 2 0, 2θ = 53.2°, intensity 123; hkl 1 1 15, 2θ = 62.8°, intensity 126; hkl 3 1 5, 2θ = 63.3°, intensity 290; hkl 2 2 10, 2θ = 66.3°, intensity 120; hkl 3 1 15, 2θ = 86.8°, intensity 111; hkl 3 3 5, 2θ = 87.2°, intensity 65

***

(6)
The following is a calculated powder diffraction line list of Ac4CeSn3. It was derived from a crystal structure in Alexandria, relaxed with PBE, using Cu Ka.
Neutral-atom scattering factors, no anomalous dispersion.

Structure:
```
data_Ac4CeSn3
_space_group_name_H-M_alt 'P m n 21'
_space_group_IT_number 31
_space_group_name_Hall 'P 2ac -2'
_cell_length_a 13.1225
_cell_length_b 6.6002
_cell_length_c 7.0378
_cell_angle_alpha 90.00
_cell_angle_beta 90.00
_cell_angle_gamma 90.00
loop_
_atom_site_label
_atom_site_fract_x
_atom_site_fract_y
_atom_site_fract_z
Ac1 0.0000 0.2192 0.0000
Ac2 0.0000 0.7233 0.2962
Ac3 0.2432 0.7458 0.7740
Ce1 0.0000 0.2176 0.5513
Sn1 0.0000 0.7202 0.7800
Sn2 0.2301 0.2451 0.7637
```

Largest 10 diffraction maxima, sorted by position, 2θ from 10° to 90°:
hkl 2 1 1, 2θ = 22.9°, intensity 464; hkl 0 0 2, 2θ = 25.3°, intensity 298; hkl 0 2 0, 2θ = 27.0°, intensity 995; hkl 4 0 0, 2θ = 27.2°, intensity 1000; hkl 2 0 2, 2θ = 28.8°, intensity 471; hkl 1 1 2, 2θ = 29.6°, intensity 761; hkl 3 1 2, 2θ = 35.5°, intensity 538; hkl 4 2 0, 2θ = 38.7°, intensity 741; hkl 2 2 2, 2θ = 39.9°, intensity 391; hkl 4 2 4, 2θ = 66.6°, intensity 263

***

(7)
The following is a calculated powder diffraction line list of AcTb14Ce. It was derived from a crystal structure in Alexandria, relaxed with PBE, using Cu Ka.
Neutral-atom scattering factors, no anomalous dispersion.

Structure:
```
data_AcTb14Ce
_space_group_name_H-M_alt 'P 4/m m m'
_space_group_IT_number 123
_space_group_name_Hall '-P 4 2'
_cell_length_a 7.1787
_cell_length_b 7.1787
_cell_length_c 10.1385
_cell_angle_alpha 90.00
_cell_angle_beta 90.00
_cell_angle_gamma 90.00
loop_
_atom_site_label
_atom_site_fract_x
_atom_site_fract_y
_atom_site_fract_z
Ac1 0.0000 0.0000 0.0000
Tb1 0.0000 0.0000 0.5000
Tb2 0.0000 0.5000 0.0000
Tb3 0.0000 0.5000 0.5000
Tb4 0.2536 0.2536 0.2536
Tb5 0.5000 0.5000 0.5000
Ce1 0.5000 0.5000 0.0000
```

Largest 10 diffraction maxima, sorted by position, 2θ from 10° to 90°:
hkl 2 0 2, 2θ = 30.5°, intensity 1000; hkl 2 2 0, 2θ = 35.4°, intensity 507; hkl 4 0 0, 2θ = 50.9°, intensity 362; hkl 4 2 2, 2θ = 60.5°, intensity 429; hkl 4 0 4, 2θ = 63.5°, intensity 124; hkl 4 4 0, 2θ = 74.8°, intensity 38; hkl 0 0 8, 2θ = 74.9°, intensity 19; hkl 6 0 2, 2θ = 82.9°, intensity 177; hkl 6 2 0, 2θ = 85.6°, intensity 110; hkl 2 2 8, 2θ = 85.7°, intensity 55

***

(8)
The following is a calculated powder diffraction line list of Ac5CeTe8. It was derived from a crystal structure in Alexandria, relaxed with PBE, using Cu Ka.
Neutral-atom scattering factors, no anomalous dispersion.

Structure:
```
data_Ac5CeTe8
_space_group_name_H-M_alt 'I -4'
_space_group_IT_number 82
_space_group_name_Hall 'I -4'
_cell_length_a 9.9176
_cell_length_b 9.9176
_cell_length_c 9.9439
_cell_angle_alpha 90.00
_cell_angle_beta 90.00
_cell_angle_gamma 90.00
loop_
_atom_site_label
_atom_site_fract_x
_atom_site_fract_y
_atom_site_fract_z
Ac1 0.0000 0.0000 0.0000
Ac2 0.1232 0.7495 0.6236
Ce1 0.0000 0.5000 0.2500
Te1 0.0743 0.8212 0.2968
Te2 0.0770 0.6725 0.9530
```

Largest 10 diffraction maxima, sorted by position, 2θ from 10° to 90°:
hkl 1 1 2, 2θ = 21.9°, intensity 223; hkl 3 1 0, 2θ = 28.4°, intensity 1000; hkl 2 1 3, 2θ = 33.8°, intensity 705; hkl 4 0 2, 2θ = 40.6°, intensity 240; hkl 3 2 3, 2θ = 42.7°, intensity 163; hkl 2 4 2, 2θ = 44.7°, intensity 127; hkl 1 3 4, 2θ = 46.6°, intensity 127; hkl 1 1 6, 2θ = 57.1°, intensity 109; hkl 6 1 1, 2θ = 57.2°, intensity 226; hkl 7 1 2, 2θ = 69.7°, intensity 120

***

(9)
The following is a calculated powder diffraction line list of Ac5Ce3Te8. It was derived from a crystal structure in Alexandria, relaxed with PBE, using Cu Ka.
Neutral-atom scattering factors, no anomalous dispersion.

Structure:
```
data_Ac5Ce3Te8
_space_group_name_H-M_alt 'R -3 m'
_space_group_IT_number 166
_space_group_name_Hall '-R 3 2"'
_cell_length_a 9.2657
_cell_length_b 9.2657
_cell_length_c 22.9343
_cell_angle_alpha 90.00
_cell_angle_beta 90.00
_cell_angle_gamma 120.00
loop_
_atom_site_label
_atom_site_fract_x
_atom_site_fract_y
_atom_site_fract_z
Ac1 0.0000 0.0000 0.0000
Ac2 0.0000 0.0000 0.5000
Ac3 0.0000 0.5000 0.0000
Ce1 0.0000 0.5000 0.5000
Te1 0.0000 0.0000 0.2452
Te2 0.0066 0.5033 0.7533
```

Largest 10 diffraction maxima, sorted by position, 2θ from 10° to 90°:
hkl 0 2 4, 2θ = 27.1°, intensity 1000; hkl 2 0 8, 2θ = 38.6°, intensity 390; hkl 2 2 0, 2θ = 38.9°, intensity 387; hkl 4 0 4, 2θ = 48.0°, intensity 211; hkl 0 4 8, 2θ = 55.9°, intensity 133; hkl 2 2 12, 2θ = 63.1°, intensity 183; hkl 2 4 4, 2θ = 63.5°, intensity 184; hkl 4 2 8, 2θ = 70.2°, intensity 135; hkl 6 0 12, 2θ = 89.4°, intensity 73; hkl 6 2 4, 2θ = 89.8°, intensity 76

***

(10)
The following is a calculated powder diffraction line list of Ac4CeTe6. It was derived from a crystal structure in Alexandria, relaxed with PBE, using Cu Ka.
Neutral-atom scattering factors, no anomalous dispersion.

Structure:
```
data_Ac4CeTe6
_space_group_name_H-M_alt 'R -3 c'
_space_group_IT_number 167
_space_group_name_Hall '-R 3 2"c'
_cell_length_a 13.1536
_cell_length_b 13.1536
_cell_length_c 15.8490
_cell_angle_alpha 90.00
_cell_angle_beta 90.00
_cell_angle_gamma 120.00
loop_
_atom_site_label
_atom_site_fract_x
_atom_site_fract_y
_atom_site_fract_z
Ac1 0.0000 0.0000 0.2500
Ac2 0.0000 0.3892 0.2500
Ce1 0.0000 0.0000 0.0000
Te1 0.0318 0.2069 0.3856
```

Largest 10 diffraction maxima, sorted by position, 2θ from 10° to 90°:
hkl 3 0 0, 2θ = 23.5°, intensity 676; hkl 0 2 4, 2θ = 27.4°, intensity 569; hkl 1 3 1, 2θ = 28.8°, intensity 1000; hkl 2 1 4, 2θ = 30.7°, intensity 716; hkl 2 2 3, 2θ = 32.1°, intensity 880; hkl 1 2 5, 2θ = 35.2°, intensity 276; hkl 4 1 0, 2θ = 36.2°, intensity 438; hkl 3 2 4, 2θ = 41.4°, intensity 418; hkl 5 3 2, 2θ = 57.8°, intensity 305; hkl 3 5 4, 2θ = 61.6°, intensity 343

***

(11)
The following is a calculated powder diffraction line list of Ac2CeY3Te6. It was derived from a crystal structure in Alexandria, relaxed with PBE, using Cu Ka.
Neutral-atom scattering factors, no anomalous dispersion.

Structure:
```
data_Ac2CeY3Te6
_space_group_name_H-M_alt 'C 1 2/m 1'
_space_group_IT_number 12
_space_group_name_Hall '-C 2y'
_cell_length_a 19.8575
_cell_length_b 4.4351
_cell_length_c 9.1884
_cell_angle_alpha 90.00
_cell_angle_beta 105.62
_cell_angle_gamma 90.00
loop_
_atom_site_label
_atom_site_fract_x
_atom_site_fract_y
_atom_site_fract_z
Ac1 0.1649 0.0000 0.3313
Ce1 0.0000 0.5000 0.0000
Y1 0.0000 0.5000 0.5000
Y2 0.1698 0.0000 0.8373
Te1 0.0074 0.0000 0.7457
Te2 0.1615 0.5000 0.5987
Te3 0.1680 0.5000 0.0673
```

Largest 10 diffraction maxima, sorted by position, 2θ from 10° to 90°:
hkl 1 1 -2, 2θ = 28.0°, intensity 1000; hkl 2 0 -4, 2θ = 39.3°, intensity 128; hkl 7 1 -2, 2θ = 39.4°, intensity 254; hkl 5 1 2, 2θ = 40.6°, intensity 246; hkl 0 2 0, 2θ = 40.7°, intensity 124; hkl 6 2 0, 2θ = 50.1°, intensity 132; hkl 2 2 -4, 2θ = 57.8°, intensity 141; hkl 8 2 -4, 2θ = 64.6°, intensity 109; hkl 4 2 4, 2θ = 66.3°, intensity 111; hkl 7 3 -2, 2θ = 73.2°, intensity 90

***

(12)
The following is a calculated powder diffraction line list of Ac2Ce2Tl3. It was derived from a crystal structure in Alexandria, relaxed with PBE, using Cu Ka.
Neutral-atom scattering factors, no anomalous dispersion.

Structure:
```
data_Ac2Ce2Tl3
_space_group_name_H-M_alt 'C m m m'
_space_group_IT_number 65
_space_group_name_Hall '-C 2 2'
_cell_length_a 4.5169
_cell_length_b 26.3439
_cell_length_c 3.7399
_cell_angle_alpha 90.00
_cell_angle_beta 90.00
_cell_angle_gamma 90.00
loop_
_atom_site_label
_atom_site_fract_x
_atom_site_fract_y
_atom_site_fract_z
Ac1 0.0000 0.0779 0.0000
Ce1 0.0000 0.2179 0.0000
Tl1 0.0000 0.3420 0.5000
Tl2 0.0000 0.5000 0.5000
```

Largest 10 diffraction maxima, sorted by position, 2θ from 10° to 90°:
hkl 1 5 0, 2θ = 26.0°, intensity 167; hkl 1 7 0, 2θ = 30.9°, intensity 1000; hkl 1 1 1, 2θ = 31.2°, intensity 986; hkl 0 6 1, 2θ = 31.4°, intensity 800; hkl 2 0 0, 2θ = 39.9°, intensity 299; hkl 0 0 2, 2θ = 48.7°, intensity 171; hkl 2 6 1, 2θ = 51.7°, intensity 407; hkl 1 13 1, 2θ = 55.4°, intensity 359; hkl 1 7 2, 2θ = 58.8°, intensity 331; hkl 2 0 2, 2θ = 64.7°, intensity 147